Diffraction record for GdTmIr. The X-ray diffraction stick pattern is theoretical, not measured: it uses a DFT-relaxed cell (GGA-PBE, Alexandria) and copper Kα.
Peak positions follow from Bragg's law for the DFT cell and can differ from measured ones.

Atomic structure:
a = 6.7872 Å, b = 6.7872 Å, c = 6.7872 Å
α = 150.44°, β = 150.44°, γ = 42.30°
Sites, in units of the cell vectors:
Gd1 0.0000 0.0000 0.0000
Tm1 0.7438 0.7438 0.0000
Ir1 0.3666 0.3666 0.0000

Principal peaks in the range 15 to 90 degrees two-theta, sorted by position:
d [Å]  2θ (°)  Rel. int.
2.677  33.47  100
2.449  36.70  56
2.284  39.45  11
2.044  44.32  39
1.732  52.87  20
1.454  64.04  31
1.329  70.90  16
1.321  71.39  19
1.168  82.59  11
1.095  89.48  9